Entry 1:
Computed X-ray powder pattern
Compound: Y2ErGe4Pd4
Radiation: Cu Kα (λ = 1.5418 Å)
Structure: a cell relaxed with PBE
Neutral-atom scattering factors, no anomalous dispersion.

Peak list (8 most intense, 2θ = 10–80°, sorted by position)
- (1 2 1), 33.7°, intensity 100
- (0 1 5), 34.5°, intensity 28
- (1 1 4), 35.8°, intensity 74
- (0 0 6), 38.6°, intensity 23
- (0 3 3), 42.9°, intensity 35
- (2 0 0), 43.2°, intensity 42
- (1 2 5), 46.7°, intensity 37
- (2 3 3), 62.5°, intensity 23

Structural model:
```
data_Y2ErGe4Pd4
_chemical_formula_sum 'Y4 Er2 Ge8 Pd8'
_cell_length_a 4.189
_cell_length_b 7.101
_cell_length_c 13.985
_cell_angle_alpha 90.00
_cell_angle_beta 90.00
_cell_angle_gamma 90.00
_space_group_name_H-M_alt 'I m m m'
_space_group_IT_number 71
_space_group_name_Hall '-I 2 2'
loop_
_atom_site_label
_atom_site_fract_x
_atom_site_fract_y
_atom_site_fract_z
Y1 0.000 0.000 0.126
Er1 0.000 0.500 0.000
Ge1 0.000 0.312 0.500
Ge2 0.000 0.500 0.218
Pd1 0.000 0.200 0.325
```


Entry 2:
Computed X-ray powder pattern
Compound: ErZn2GePd4
Radiation: Cu Kα (λ = 1.5418 Å)
Structure: a cell relaxed with PBE
Neutral-atom scattering factors, no anomalous dispersion.

Peak list (8 most intense, 2θ = 10–80°, sorted by position)
- (1 0 1), 24.1°, intensity 5
- (1 1 1), 31.4°, intensity 7
- (1 1 2), 39.5°, intensity 100
- (2 0 0), 40.3°, intensity 50
- (0 0 4), 56.0°, intensity 8
- (2 2 0), 58.3°, intensity 16
- (2 0 4), 71.2°, intensity 15
- (3 1 2), 72.8°, intensity 32

Structural model:
```
data_ErZn2GePd4
_chemical_formula_sum 'Er1 Zn2 Ge1 Pd4'
_cell_length_a 4.473
_cell_length_b 4.473
_cell_length_c 6.572
_cell_angle_alpha 90.00
_cell_angle_beta 90.00
_cell_angle_gamma 90.00
_space_group_name_H-M_alt 'P 4/m m m'
_space_group_IT_number 123
_space_group_name_Hall '-P 4 2'
loop_
_atom_site_label
_atom_site_fract_x
_atom_site_fract_y
_atom_site_fract_z
Er1 0.000 0.000 0.000
Zn1 0.000 0.000 0.500
Zn2 0.500 0.500 0.000
Ge1 0.500 0.500 0.500
Pd1 0.000 0.500 0.274
```


Entry 3:
Computed X-ray powder pattern
Compound: TbErGe2Pt
Radiation: Cu Kα (λ = 1.5418 Å)
Structure: a cell relaxed with PBE
Neutral-atom scattering factors, no anomalous dispersion.

Peak list (8 most intense, 2θ = 10–80°, sorted by position)
- (1 1 2), 32.6°, intensity 100
- (1 1 -3), 33.3°, intensity 72
- (3 1 -2), 33.5°, intensity 66
- (4 0 -2), 34.4°, intensity 40
- (3 1 -3), 36.7°, intensity 50
- (3 1 1), 40.4°, intensity 95
- (0 2 0), 41.5°, intensity 74
- (4 2 -2), 55.0°, intensity 34

Structural model:
```
data_TbErGe2Pt
_chemical_formula_sum 'Tb4 Er4 Ge8 Pt4'
_cell_length_a 10.445
_cell_length_b 4.349
_cell_length_c 10.366
_cell_angle_alpha 90.00
_cell_angle_beta 117.23
_cell_angle_gamma 90.00
_space_group_name_H-M_alt 'C 1 2/m 1'
_space_group_IT_number 12
loop_
_space_group_symop_operation_xyz
'x,y,z'
'-x,-y,-z'
'-x,y,-z'
'x,-y,z'
'x+1/2,y+1/2,z'
'-x+1/2,-y+1/2,-z'
'-x+1/2,y+1/2,-z'
'x+1/2,-y+1/2,z'
loop_
_atom_site_label
_atom_site_fract_x
_atom_site_fract_y
_atom_site_fract_z
Tb1 0.188 0.000 0.113
Er1 0.011 0.000 0.329
Ge1 0.025 0.500 0.886
Ge2 0.143 0.500 0.553
Pt1 0.228 0.500 0.336
```